1.
This entry pairs a crystal structure of Sm3Be2GePt9 with its simulated powder XRD pattern. Radiation: CuKα. Structure: a structure optimized by DFT (GGA-PBE).
No peak broadening, texture or thermal motion is included.

The 6 most intense peaks (10 to 80 degrees two-theta), low angle first:
2θ/deg  d/Å  Rel. int.
28.7  3.110  46
36.9  2.435  100
40.7  2.219  83
53.5  1.713  23
63.9  1.456  25
71.5  1.319  21

Cell and atoms:
a = 5.8245 Å, b = 5.8245 Å, c = 9.3310 Å
α = 90.00°, β = 90.00°, γ = 120.00°
Atoms (fractional coordinates):
Sm: 0.0000 0.0000 0.0000
Sm: 0.3333 0.6667 0.6168
Sm: 0.6667 0.3333 0.3832
Be: 0.3333 0.6667 0.1505
Be: 0.6667 0.3333 0.8495
Ge: 0.0000 0.0000 0.5000
Pt: 0.0000 0.5000 0.0000
Pt: 0.1645 0.3289 0.2986
Pt: 0.1645 0.8355 0.2986
Pt: 0.3289 0.1645 0.7014
Pt: 0.5000 0.0000 0.0000
Pt: 0.5000 0.5000 0.0000
Pt: 0.6711 0.8355 0.2986
Pt: 0.8355 0.1645 0.7014
Pt: 0.8355 0.6711 0.7014

---

2.
This entry pairs a crystal structure of Be4SiNi2 with its simulated powder XRD pattern. Radiation: CuKα. Structure: a structure optimized by DFT (GGA-PBE).
No peak broadening, texture or thermal motion is included.

The 6 most intense peaks (10 to 80 degrees two-theta), low angle first:
2θ/deg  d/Å  Rel. int.
20.9  4.256  71
32.7  2.738  100
43.9  2.064  95
49.0  1.857  65
49.9  1.829  76
55.8  1.648  30

Cell and atoms:
a = 4.1286 Å, b = 4.1286 Å, c = 8.5116 Å
α = 90.00°, β = 90.00°, γ = 120.00°
Atoms (fractional coordinates):
Be: 0.0000 0.0000 0.0000
Be: 0.0000 0.0000 0.5000
Be: 0.9997 0.4998 0.1291
Be: 0.0003 0.5002 0.6291
Be: 0.5002 0.0003 0.1291
Be: 0.4998 0.9997 0.6291
Be: 0.5002 0.4998 0.1291
Be: 0.4998 0.5002 0.6291
Si: 0.3333 0.6667 0.3758
Si: 0.6667 0.3333 0.8758
Ni: 0.0000 0.0000 0.2502
Ni: 0.0000 0.0000 0.7502
Ni: 0.3333 0.6667 0.8875
Ni: 0.6667 0.3333 0.3875

---

3.
This entry pairs a crystal structure of HgPbC2O6 with its simulated powder XRD pattern. Radiation: CuKα. Structure: a structure optimized by DFT (GGA-PBE).
No peak broadening, texture or thermal motion is included.

The 6 most intense peaks (10 to 80 degrees two-theta), low angle first:
2θ/deg  d/Å  Rel. int.
20.8  4.270  37
22.8  3.902  60
28.1  3.175  100
33.8  2.654  29
42.2  2.140  17
45.8  1.981  18

Cell and atoms:
a = 6.6609 Å, b = 6.6609 Å, c = 6.6327 Å
α = 101.20°, β = 101.20°, γ = 95.90°
Atoms (fractional coordinates):
Hg: 0.1101 0.8899 0.7500
Hg: 0.8899 0.1101 0.2500
Pb: 0.3678 0.6322 0.2500
Pb: 0.6322 0.3678 0.7500
C: 0.1206 0.3987 0.7497
C: 0.3987 0.1206 0.2497
C: 0.6013 0.8794 0.7503
C: 0.8794 0.6013 0.2503
O: 0.0032 0.5442 0.7444
O: 0.0400 0.2130 0.6438
O: 0.2130 0.0400 0.1438
O: 0.3065 0.4382 0.8642
O: 0.4382 0.3065 0.3642
O: 0.4558 0.9968 0.7556
O: 0.5442 0.0032 0.2444
O: 0.5618 0.6935 0.6358
O: 0.6935 0.5618 0.1358
O: 0.7870 0.9600 0.8562
O: 0.9600 0.7870 0.3562
O: 0.9968 0.4558 0.2556

---

4.
This entry pairs a crystal structure of Nd3Ag with its simulated powder XRD pattern. Radiation: CuKα. Structure: a structure optimized by DFT (GGA-PBE).
No peak broadening, texture or thermal motion is included.

The 6 most intense peaks (10 to 80 degrees two-theta), low angle first:
2θ/deg  d/Å  Rel. int.
31.4  2.846  100
36.5  2.464  50
52.5  1.743  35
62.5  1.486  41
65.6  1.423  12
77.5  1.232  5

Cell and atoms:
a = 4.9287 Å, b = 4.9287 Å, c = 4.9287 Å
α = 90.00°, β = 90.00°, γ = 90.00°
Atoms (fractional coordinates):
Nd: 0.0000 0.0000 0.5000
Nd: 0.0000 0.5000 0.0000
Nd: 0.5000 0.0000 0.0000
Ag: 0.5000 0.5000 0.5000